# SrPuIr
Calculated powder diffraction line list, Cu Kα (λ = 1.5418 Å). Input: a DFT-relaxed cell (GGA-PBE, Alexandria).
Intensities are scaled so that the largest is 100.

Largest 10 diffraction maxima, sorted by position, 2θ = 10–90°:
13.51°, I 67, hkl 0 0 1; 28.54°, I 100, hkl 0 1 1; 37.30°, I 57, hkl 0 1 2; 44.07°, I 38, hkl 1 1 0; 46.30°, I 20, hkl 1 1 1; 48.93°, I 31, hkl 1 0 3; 53.34°, I 18, hkl 2 0 1; 59.07°, I 15, hkl 2 0 2; 71.61°, I 15, hkl 1 2 1; 76.56°, I 15, hkl 1 2 2

Atomic structure:
```
data_SrPuIr
_chemical_formula_sum 'Sr1 Pu1 Ir1'
_symmetry_space_group_name_H-M 'P 3 m 1'
_symmetry_Int_Tables_number 156
_symmetry_space_group_name_Hall 'P 3 -2"'
_cell_length_a 4.1100
_cell_length_b 4.1100
_cell_length_c 6.5520
_cell_angle_alpha 90.00
_cell_angle_beta 90.00
_cell_angle_gamma 120.00
loop_
_atom_site_label
_atom_site_type_symbol
_atom_site_fract_x
_atom_site_fract_y
_atom_site_fract_z
Sr1 Sr 0.0000 0.0000 0.0000
Pu1 Pu 0.6667 0.3333 0.4902
Ir1 Ir 0.3333 0.6667 0.2975
```



# Tb2Pu2Ir3
Calculated powder diffraction line list, Cu Kα (λ = 1.5418 Å). Input: a DFT-relaxed cell (GGA-PBE, Alexandria).
Intensities are scaled so that the largest is 100.

Largest 10 diffraction maxima, sorted by position, 2θ = 10–90°:
21.50°, I 19, hkl 2 0 1; 21.61°, I 26, hkl 1 1 0; 28.70°, I 29, hkl 3 1 0; 33.24°, I 61, hkl 2 0 -2; 33.82°, I 100, hkl 3 1 1; 39.25°, I 22, hkl 1 1 2; 41.45°, I 72, hkl 5 1 -1; 41.80°, I 72, hkl 0 2 0; 44.92°, I 21, hkl 6 0 1; 54.44°, I 31, hkl 2 2 -2

Atomic structure:
```
data_Tb2Pu2Ir3
_chemical_formula_sum 'Tb4 Pu4 Ir6'
_symmetry_space_group_name_H-M 'C 1 2/m 1'
_symmetry_Int_Tables_number 12
_symmetry_space_group_name_Hall '-C 2y'
_cell_length_a 13.508
_cell_length_b 4.320
_cell_length_c 5.669
_cell_angle_alpha 90.00
_cell_angle_beta 95.48
_cell_angle_gamma 90.00
loop_
_atom_site_label
_atom_site_type_symbol
_atom_site_fract_x
_atom_site_fract_y
_atom_site_fract_z
Tb1 Tb 0.144 0.000 0.105
Pu1 Pu 0.102 0.500 0.597
Ir1 Ir 0.000 0.500 0.000
Ir2 Ir 0.228 0.000 0.654
```



# PuTiIr
Calculated powder diffraction line list, Cu Kα (λ = 1.5418 Å). Input: a DFT-relaxed cell (GGA-PBE, Alexandria).
Intensities are scaled so that the largest is 100.

Largest 10 diffraction maxima, sorted by position, 2θ = 10–90°:
20.31°, I 93, hkl 0 2 0; 21.02°, I 44, hkl 1 1 1; 33.61°, I 45, hkl 1 1 3; 35.98°, I 91, hkl 1 3 1; 36.99°, I 50, hkl 0 0 4; 37.24°, I 100, hkl 2 0 2; 42.56°, I 47, hkl 0 2 4; 42.78°, I 92, hkl 2 2 2; 45.48°, I 39, hkl 0 4 2; 85.05°, I 37, hkl 2 6 4

Atomic structure:
```
data_PuTiIr
_chemical_formula_sum 'Pu8 Ti8 Ir8'
_symmetry_space_group_name_H-M 'F m m m'
_symmetry_Int_Tables_number 69
_symmetry_space_group_name_Hall '-F 2 2'
_cell_length_a 5.563
_cell_length_b 8.747
_cell_length_c 9.721
_cell_angle_alpha 90.00
_cell_angle_beta 90.00
_cell_angle_gamma 90.00
loop_
_atom_site_label
_atom_site_type_symbol
_atom_site_fract_x
_atom_site_fract_y
_atom_site_fract_z
Pu1 Pu 0.000 0.167 0.000
Ti1 Ti 0.000 0.000 0.335
Ir1 Ir 0.250 0.250 0.250
```



# Pu4UIr3
Calculated powder diffraction line list, Cu Kα (λ = 1.5418 Å). Input: a DFT-relaxed cell (GGA-PBE, Alexandria).
Intensities are scaled so that the largest is 100.

Largest 10 diffraction maxima, sorted by position, 2θ = 10–90°:
31.15°, I 29, hkl 0 0 2; 33.20°, I 93, hkl 3 2 1; 35.25°, I 59, hkl 2 0 2; 36.46°, I 78, hkl 4 2 0; 37.10°, I 100, hkl 4 1 1; 38.96°, I 47, hkl 2 2 2; 47.15°, I 27, hkl 5 2 1; 59.35°, I 45, hkl 5 5 0; 68.49°, I 24, hkl 5 5 2; 69.70°, I 24, hkl 6 4 2

Atomic structure:
```
data_Pu4UIr3
_chemical_formula_sum 'Pu16 U4 Ir12'
_symmetry_space_group_name_H-M 'I 4/m c m'
_symmetry_Int_Tables_number 140
_symmetry_space_group_name_Hall '-I 4 2c'
_cell_length_a 11.021
_cell_length_b 11.021
_cell_length_c 5.743
_cell_angle_alpha 90.00
_cell_angle_beta 90.00
_cell_angle_gamma 90.00
loop_
_atom_site_label
_atom_site_type_symbol
_atom_site_fract_x
_atom_site_fract_y
_atom_site_fract_z
Pu1 Pu 0.087 0.218 0.000
U1 U 0.000 0.500 0.250
Ir1 Ir 0.000 0.000 0.250
Ir2 Ir 0.152 0.348 0.500
```



# Pu2Zn16Ir
Calculated powder diffraction line list, Cu Kα (λ = 1.5418 Å). Input: a DFT-relaxed cell (GGA-PBE, Alexandria).
Intensities are scaled so that the largest is 100.

Largest 10 diffraction maxima, sorted by position, 2θ = 10–90°:
19.72°, I 35, hkl 1 1 0; 28.42°, I 45, hkl 1 1 3; 34.51°, I 65, hkl 3 0 0; 35.72°, I 44, hkl 0 2 4; 40.07°, I 88, hkl 2 2 0; 40.35°, I 100, hkl 0 3 3; 41.15°, I 59, hkl 0 0 6; 41.41°, I 37, hkl 2 0 5; 58.18°, I 28, hkl 4 1 3; 58.79°, I 30, hkl 2 2 6

Atomic structure:
```
data_Pu2Zn16Ir
_chemical_formula_sum 'Pu6 Zn48 Ir3'
_symmetry_space_group_name_H-M 'R 3 m'
_symmetry_Int_Tables_number 160
_symmetry_space_group_name_Hall 'R 3 -2"'
_cell_length_a 9.0019
_cell_length_b 9.0019
_cell_length_c 13.1547
_cell_angle_alpha 90.00
_cell_angle_beta 90.00
_cell_angle_gamma 120.00
loop_
_atom_site_label
_atom_site_type_symbol
_atom_site_fract_x
_atom_site_fract_y
_atom_site_fract_z
Pu1 Pu 0.0000 0.0000 0.0000
Pu2 Pu 0.0000 0.0000 0.3305
Zn1 Zn 0.0000 0.0000 0.5702
Zn2 Zn 0.0000 0.2882 0.6731
Zn3 Zn 0.0104 0.5052 0.8197
Zn4 Zn 0.1676 0.3353 0.8552
Zn5 Zn 0.1686 0.3373 0.5055
Ir1 Ir 0.0000 0.0000 0.7744
```



# RbRe2Ir
Calculated powder diffraction line list, Cu Kα (λ = 1.5418 Å). Input: a DFT-relaxed cell (GGA-PBE, Alexandria).
Intensities are scaled so that the largest is 100.

Largest 10 diffraction maxima, sorted by position, 2θ = 10–90°:
19.25°, I 54, hkl 1 0 1; 30.14°, I 33, hkl 2 1 1; 32.71°, I 85, hkl 2 2 0; 35.32°, I 100, hkl 1 1 2; 45.07°, I 46, hkl 3 2 1; 46.94°, I 22, hkl 4 0 0; 48.90°, I 52, hkl 3 1 2; 51.18°, I 21, hkl 4 1 1; 62.08°, I 15, hkl 5 0 1; 69.93°, I 25, hkl 2 0 4

Atomic structure:
```
data_RbRe2Ir
_chemical_formula_sum 'Rb4 Re8 Ir4'
_symmetry_space_group_name_H-M 'I -4 2 d'
_symmetry_Int_Tables_number 122
_symmetry_space_group_name_Hall 'I -4 2bw'
_cell_length_a 7.743
_cell_length_b 7.743
_cell_length_c 5.738
_cell_angle_alpha 90.00
_cell_angle_beta 90.00
_cell_angle_gamma 90.00
loop_
_atom_site_label
_atom_site_type_symbol
_atom_site_fract_x
_atom_site_fract_y
_atom_site_fract_z
Rb1 Rb 0.000 0.000 0.000
Re1 Re 0.180 0.750 0.625
Ir1 Ir 0.000 0.000 0.500
```



# RbIr5S8
Calculated powder diffraction line list, Cu Kα (λ = 1.5418 Å). Input: a DFT-relaxed cell (GGA-PBE, Alexandria).
Intensities are scaled so that the largest is 100.

Largest 10 diffraction maxima, sorted by position, 2θ = 10–90°:
10.00°, I 47, hkl 2 0 0; 10.71°, I 100, hkl 0 0 1; 12.26°, I 40, hkl 2 0 -1; 19.71°, I 46, hkl 4 0 -1; 26.41°, I 38, hkl 2 0 2; 29.13°, I 75, hkl 3 1 0; 29.45°, I 57, hkl 3 1 -1; 40.45°, I 54, hkl 3 1 -3; 47.71°, I 41, hkl 3 1 3; 51.19°, I 51, hkl 9 1 -1

Atomic structure:
```
data_RbIr5S8
_chemical_formula_sum 'Rb2 Ir10 S16'
_symmetry_space_group_name_H-M 'C 1 m 1'
_symmetry_Int_Tables_number 8
_symmetry_space_group_name_Hall 'C -2y'
_cell_length_a 18.549
_cell_length_b 3.589
_cell_length_c 8.665
_cell_angle_alpha 90.00
_cell_angle_beta 107.50
_cell_angle_gamma 90.00
loop_
_atom_site_label
_atom_site_type_symbol
_atom_site_fract_x
_atom_site_fract_y
_atom_site_fract_z
Rb1 Rb 0.000 0.000 0.000
Ir1 Ir 0.000 0.500 0.500
Ir2 Ir 0.159 0.000 0.462
Ir3 Ir 0.201 0.000 0.825
Ir4 Ir 0.300 0.500 0.174
Ir5 Ir 0.342 0.500 0.537
S1 S 0.080 0.000 0.623
S2 S 0.084 0.500 0.330
S3 S 0.179 0.500 0.980
S4 S 0.237 0.500 0.647
S5 S 0.264 0.000 0.353
S6 S 0.322 0.000 0.020
S7 S 0.417 0.000 0.670
S8 S 0.421 0.500 0.376
```



# RbIrS
Calculated powder diffraction line list, Cu Kα (λ = 1.5418 Å). Input: a DFT-relaxed cell (GGA-PBE, Alexandria).
Intensities are scaled so that the largest is 100.

Largest 10 diffraction maxima, sorted by position, 2θ = 10–90°:
16.33°, I 80, hkl 1 0 0; 18.52°, I 94, hkl 0 1 1; 23.95°, I 39, hkl 1 0 2; 26.23°, I 38, hkl 0 0 3; 29.82°, I 100, hkl 2 -1 1; 33.57°, I 84, hkl 1 1 2; 34.18°, I 21, hkl 0 2 1; 45.90°, I 35, hkl 2 -1 4; 47.79°, I 22, hkl 2 1 2; 57.71°, I 46, hkl 3 0 3

Atomic structure:
```
data_RbIrS
_chemical_formula_sum 'Rb3 Ir3 S3'
_symmetry_space_group_name_H-M 'P 32'
_symmetry_Int_Tables_number 145
_symmetry_space_group_name_Hall 'P 32'
_cell_length_a 6.2687
_cell_length_b 6.2687
_cell_length_c 10.1911
_cell_angle_alpha 90.00
_cell_angle_beta 90.00
_cell_angle_gamma 120.00
loop_
_atom_site_label
_atom_site_type_symbol
_atom_site_fract_x
_atom_site_fract_y
_atom_site_fract_z
Rb1 Rb 0.1994 0.8002 0.0000
Ir1 Ir 0.2312 0.1150 0.3340
S1 S 0.1241 0.8743 0.5006
```



# Rb3IrS4
Calculated powder diffraction line list, Cu Kα (λ = 1.5418 Å). Input: a DFT-relaxed cell (GGA-PBE, Alexandria).
Intensities are scaled so that the largest is 100.

Largest 10 diffraction maxima, sorted by position, 2θ = 10–90°:
15.52°, I 34, hkl 1 0 1; 22.52°, I 40, hkl 2 0 0; 26.84°, I 100, hkl 1 1 2; 32.06°, I 44, hkl 2 2 0; 42.29°, I 49, hkl 3 1 2; 45.98°, I 13, hkl 4 0 0; 51.78°, I 13, hkl 4 2 0; 54.04°, I 18, hkl 3 3 2; 55.32°, I 18, hkl 2 2 4; 64.24°, I 19, hkl 5 1 2

Atomic structure:
```
data_Rb3IrS4
_chemical_formula_sum 'Rb6 Ir2 S8'
_symmetry_space_group_name_H-M 'I 4/m m m'
_symmetry_Int_Tables_number 139
_symmetry_space_group_name_Hall '-I 4 2'
_cell_length_a 7.896
_cell_length_b 7.896
_cell_length_c 8.264
_cell_angle_alpha 90.00
_cell_angle_beta 90.00
_cell_angle_gamma 90.00
loop_
_atom_site_label
_atom_site_type_symbol
_atom_site_fract_x
_atom_site_fract_y
_atom_site_fract_z
Rb1 Rb 0.000 0.000 0.000
Rb2 Rb 0.000 0.500 0.250
Ir1 Ir 0.000 0.000 0.500
S1 S 0.204 0.204 0.500
```



# RbIr5Se8
Calculated powder diffraction line list, Cu Kα (λ = 1.5418 Å). Input: a DFT-relaxed cell (GGA-PBE, Alexandria).
Intensities are scaled so that the largest is 100.

Largest 10 diffraction maxima, sorted by position, 2θ = 10–90°:
10.39°, I 100, hkl 0 0 1; 11.93°, I 44, hkl 2 0 -1; 18.88°, I 37, hkl 4 0 -1; 27.52°, I 49, hkl 3 1 0; 30.91°, I 56, hkl 3 1 1; 37.23°, I 38, hkl 3 1 2; 39.06°, I 43, hkl 3 1 -3; 45.42°, I 49, hkl 3 1 3; 48.04°, I 37, hkl 0 2 0; 48.33°, I 67, hkl 9 1 -1

Atomic structure:
```
data_RbIr5Se8
_chemical_formula_sum 'Rb2 Ir10 Se16'
_symmetry_space_group_name_H-M 'C 1 m 1'
_symmetry_Int_Tables_number 8
_symmetry_space_group_name_Hall 'C -2y'
_cell_length_a 19.545
_cell_length_b 3.788
_cell_length_c 8.866
_cell_angle_alpha 90.00
_cell_angle_beta 106.18
_cell_angle_gamma 90.00
loop_
_atom_site_label
_atom_site_type_symbol
_atom_site_fract_x
_atom_site_fract_y
_atom_site_fract_z
Rb1 Rb 0.000 0.000 0.000
Ir1 Ir 0.000 0.500 0.500
Ir2 Ir 0.159 0.000 0.468
Ir3 Ir 0.202 0.000 0.825
Ir4 Ir 0.299 0.500 0.175
Ir5 Ir 0.341 0.500 0.531
Se1 Se 0.077 0.000 0.632
Se2 Se 0.087 0.500 0.329
Se3 Se 0.179 0.500 0.986
Se4 Se 0.236 0.500 0.647
Se5 Se 0.265 0.000 0.353
Se6 Se 0.322 0.000 0.014
Se7 Se 0.414 0.000 0.670
Se8 Se 0.424 0.500 0.368
```



# Rb2SrTeIr
Calculated powder diffraction line list, Cu Kα (λ = 1.5418 Å). Input: a DFT-relaxed cell (GGA-PBE, Alexandria).
Intensities are scaled so that the largest is 100.

Largest 10 diffraction maxima, sorted by position, 2θ = 10–90°:
16.14°, I 33, hkl 1 1 0; 18.85°, I 21, hkl 1 0 1; 22.09°, I 100, hkl 1 1 1; 22.91°, I 96, hkl 2 0 0; 30.20°, I 24, hkl 0 0 2; 32.62°, I 39, hkl 2 2 0; 38.24°, I 50, hkl 2 0 2; 39.75°, I 43, hkl 3 1 1; 45.05°, I 32, hkl 2 2 2; 61.97°, I 24, hkl 4 2 2

Atomic structure:
```
data_Rb2SrTeIr
_chemical_formula_sum 'Rb2 Sr1 Te1 Ir1'
_symmetry_space_group_name_H-M 'P 4/m m m'
_symmetry_Int_Tables_number 123
_symmetry_space_group_name_Hall '-P 4 2'
_cell_length_a 7.764
_cell_length_b 7.764
_cell_length_c 5.918
_cell_angle_alpha 90.00
_cell_angle_beta 90.00
_cell_angle_gamma 90.00
loop_
_atom_site_label
_atom_site_type_symbol
_atom_site_fract_x
_atom_site_fract_y
_atom_site_fract_z
Rb1 Rb 0.000 0.500 0.000
Sr1 Sr 0.000 0.000 0.000
Te1 Te 0.000 0.000 0.500
Ir1 Ir 0.500 0.500 0.500
```



# RbTcIr
Calculated powder diffraction line list, Cu Kα (λ = 1.5418 Å). Input: a DFT-relaxed cell (GGA-PBE, Alexandria).
Intensities are scaled so that the largest is 100.

Largest 10 diffraction maxima, sorted by position, 2θ = 10–90°:
10.99°, I 100, hkl 0 0 1; 22.08°, I 21, hkl 0 0 2; 28.98°, I 9, hkl 1 1 -1; 31.39°, I 24, hkl 0 1 2; 33.39°, I 9, hkl 0 0 3; 41.11°, I 22, hkl 2 1 0; 44.10°, I 18, hkl 2 1 -2; 44.31°, I 16, hkl 2 1 1; 44.91°, I 10, hkl 0 2 0; 50.64°, I 10, hkl 0 1 4

Atomic structure:
```
data_RbTcIr
_chemical_formula_sum 'Rb2 Tc2 Ir2'
_symmetry_space_group_name_H-M 'P 1 21/m 1'
_symmetry_Int_Tables_number 11
_symmetry_space_group_name_Hall '-P 2yb'
_cell_length_a 5.304
_cell_length_b 4.036
_cell_length_c 8.169
_cell_angle_alpha 90.00
_cell_angle_beta 99.78
_cell_angle_gamma 90.00
loop_
_atom_site_label
_atom_site_type_symbol
_atom_site_fract_x
_atom_site_fract_y
_atom_site_fract_z
Rb1 Rb 0.215 0.250 0.364
Tc1 Tc 0.370 0.250 0.936
Ir1 Ir 0.142 0.750 0.043
```